No. 1
This entry pairs a crystal structure of HgGe3 with its calculated powder diffractogram. Radiation: Cu Kα (weighted mean of Kα1 and Kα2). Structure: a PBE-relaxed structure.
Intensities are scaled so that the largest is 100.

```
data_HgGe3
_chemical_formula_sum 'Hg2 Ge6'
_symmetry_space_group_name_H-M 'P 63/m m c'
_symmetry_Int_Tables_number 194
_symmetry_space_group_name_Hall '-P 6c 2c'
_cell_length_a 6.2502
_cell_length_b 6.2502
_cell_length_c 5.0503
_cell_angle_alpha 90.00
_cell_angle_beta 90.00
_cell_angle_gamma 120.00
loop_
_atom_site_label
_atom_site_type_symbol
_atom_site_fract_x
_atom_site_fract_y
_atom_site_fract_z
_atom_site_occupancy
Hg1 Hg 0.3333 0.6667 0.2500 1
Ge1 Ge 0.1609 0.3217 0.7500 1
```

Peak list (10 most intense, 2θ from 15° to 90°, by angle)
24.10 deg, I = 29; 28.56 deg, I = 12; 33.10 deg, I = 24; 35.55 deg, I = 26; 37.71 deg, I = 100; 49.36 deg, I = 15; 59.13 deg, I = 18; 65.27 deg, I = 20; 70.93 deg, I = 21; 72.29 deg, I = 15

***

No. 2
This entry pairs a crystal structure of Ba3Al2Cu2F16 with its calculated powder diffractogram. Radiation: Cu Kα (weighted mean of Kα1 and Kα2). Structure: a PBE-relaxed structure.
Intensities are scaled so that the largest is 100.

```
data_Ba3Al2Cu2F16
_chemical_formula_sum 'Ba6 Al4 Cu4 F32'
_symmetry_space_group_name_H-M 'P 1 21 1'
_symmetry_Int_Tables_number 4
_cell_length_a 7.4952
_cell_length_b 5.3948
_cell_length_c 16.2435
_cell_angle_alpha 90.00
_cell_angle_beta 96.69
_cell_angle_gamma 90.00
loop_
_symmetry_equiv_pos_as_xyz
'x,y,z'
'-x,y+1/2,-z'
loop_
_atom_site_label
_atom_site_type_symbol
_atom_site_fract_x
_atom_site_fract_y
_atom_site_fract_z
_atom_site_occupancy
Ba1 Ba 0.1620 0.0000 0.1145 1
Ba2 Ba 0.2531 0.9296 0.5303 1
Ba3 Ba 0.3085 0.9820 0.8153 1
Al1 Al 0.0795 0.4205 0.6596 1
Al2 Al 0.3307 0.4753 0.9754 1
Cu1 Cu 0.2158 0.4526 0.3044 1
Cu2 Cu 0.4365 0.9298 0.3295 1
F1 F 0.0349 0.6154 0.3650 1
F2 F 0.0534 0.3697 0.2090 1
F3 F 0.0585 0.3707 0.7676 1
F4 F 0.0995 0.4396 0.5468 1
F5 F 0.1369 0.0722 0.3627 1
F6 F 0.1462 0.2643 0.9466 1
F7 F 0.1842 0.7391 0.9556 1
F8 F 0.2068 0.7021 0.6774 1
F9 F 0.2895 0.2372 0.6705 1
F10 F 0.3015 0.4615 0.0832 1
F11 F 0.3670 0.7521 0.2305 1
F12 F 0.3897 0.6087 0.3886 1
F13 F 0.4001 0.4879 0.8733 1
F14 F 0.4059 0.2410 0.2641 1
F15 F 0.4728 0.1839 0.9920 1
F16 F 0.4998 0.0815 0.4335 1
```

Peak list (10 most intense, 2θ from 15° to 90°, by angle)
20.33 deg, I = 57; 23.86 deg, I = 71; 25.38 deg, I = 100; 27.17 deg, I = 45; 27.52 deg, I = 41; 27.62 deg, I = 39; 30.20 deg, I = 81; 33.21 deg, I = 41; 41.31 deg, I = 48; 42.83 deg, I = 40

***

No. 3
This entry pairs a crystal structure of Tl2CuO4 with its calculated powder diffractogram. Radiation: Cu Kα (weighted mean of Kα1 and Kα2). Structure: a PBE-relaxed structure.
Intensities are scaled so that the largest is 100.

```
data_Tl2CuO4
_chemical_formula_sum 'Tl4 Cu2 O8'
_symmetry_space_group_name_H-M 'I 4/m m m'
_symmetry_Int_Tables_number 139
_symmetry_space_group_name_Hall '-I 4 2'
_cell_length_a 3.9338
_cell_length_b 3.9338
_cell_length_c 11.8678
_cell_angle_alpha 90.00
_cell_angle_beta 90.00
_cell_angle_gamma 90.00
loop_
_atom_site_label
_atom_site_type_symbol
_atom_site_fract_x
_atom_site_fract_y
_atom_site_fract_z
_atom_site_occupancy
Tl1 Tl 0.0000 0.0000 0.1506 1
Cu1 Cu 0.0000 0.0000 0.5000 1
O1 O 0.0000 0.5000 0.0000 1
O2 O 0.0000 0.5000 0.2500 1
```

Peak list (10 most intense, 2θ from 15° to 90°, by angle)
23.83 deg, I = 20; 32.11 deg, I = 100; 44.65 deg, I = 15; 46.15 deg, I = 18; 57.14 deg, I = 11; 57.32 deg, I = 28; 59.36 deg, I = 6; 67.11 deg, I = 7; 67.32 deg, I = 6; 76.56 deg, I = 11

***

No. 4
This entry pairs a crystal structure of CeMg6Zr with its calculated powder diffractogram. Radiation: Cu Kα (weighted mean of Kα1 and Kα2). Structure: a PBE-relaxed structure.
Intensities are scaled so that the largest is 100.

```
data_CeMg6Zr
_chemical_formula_sum 'Ce2 Mg12 Zr2'
_symmetry_space_group_name_H-M 'A m m 2'
_symmetry_Int_Tables_number 38
_cell_length_a 5.2132
_cell_length_b 6.1189
_cell_length_c 11.8701
_cell_angle_alpha 90.00
_cell_angle_beta 90.00
_cell_angle_gamma 90.00
loop_
_symmetry_equiv_pos_as_xyz
'x,y,z'
'-x,-y,z'
'-x,y,z'
'x,-y,z'
'x,y+1/2,z+1/2'
'-x,-y+1/2,z+1/2'
'-x,y+1/2,z+1/2'
'x,-y+1/2,z+1/2'
loop_
_atom_site_label
_atom_site_type_symbol
_atom_site_fract_x
_atom_site_fract_y
_atom_site_fract_z
_atom_site_occupancy
Ce1 Ce 0.0000 0.0000 0.0000 1
Mg1 Mg 0.0000 0.2490 0.7484 1
Mg2 Mg 0.5000 0.0000 0.1624 1
Mg3 Mg 0.5000 0.0000 0.6481 1
Mg4 Mg 0.5000 0.2455 0.4037 1
Zr1 Zr 0.0000 0.0000 0.4927 1
```

Peak list (10 most intense, 2θ from 15° to 90°, by angle)
17.01 deg, I = 51; 22.70 deg, I = 52; 30.11 deg, I = 20; 32.94 deg, I = 42; 34.41 deg, I = 41; 34.79 deg, I = 70; 37.29 deg, I = 100; 48.37 deg, I = 28; 63.54 deg, I = 20; 66.77 deg, I = 22